No. 1
This entry pairs a crystal structure of CuAgO2 with its simulated powder diffraction line list. Radiation: a wavelength of 1.5418 Å. Structure: a PBE-relaxed structure.

```
CuAgO2
1.0
3.286 -1.415 0.000
3.286 1.415 0.000
-2.374 0.000 5.539
Cu Ag O
1 1 2
Direct
0.000 0.000 0.000
0.500 0.500 0.500
0.375 0.375 0.784
0.625 0.625 0.216
```

Largest 6 diffraction maxima, by intensity, 2θ from 5° to 70°:
two_theta, Rel. int.
29.58, 1000
41.20, 952
36.06, 837
34.24, 779
32.32, 542
52.89, 466

=====

No. 2
This entry pairs a crystal structure of Cu2Ag2O3 with its simulated powder diffraction line list. Radiation: a wavelength of 1.5418 Å. Structure: a PBE-relaxed structure.

```
Cu2Ag2O3
1.0
-2.997 2.997 5.372
2.997 -2.997 5.372
2.997 2.997 -5.372
Cu Ag O
4 4 6
Direct
0.000 0.000 0.000
0.000 0.000 0.500
0.000 0.500 0.000
0.500 0.000 0.500
0.000 0.500 0.500
0.500 0.000 0.000
0.500 0.500 0.000
0.500 0.500 0.500
0.112 0.362 0.750
0.125 0.875 0.250
0.362 0.112 0.250
0.638 0.888 0.750
0.875 0.125 0.750
0.888 0.638 0.250
```

Largest 6 diffraction maxima, by intensity, 2θ from 5° to 70°:
two_theta, Rel. int.
34.26, 1000
55.21, 295
42.66, 202
33.36, 202
60.20, 180
61.92, 102

=====

No. 3
This entry pairs a crystal structure of CuAgO2 with its simulated powder diffraction line list. Radiation: a wavelength of 1.5418 Å. Structure: a PBE-relaxed structure.

```
CuAgO2
1.0
2.932 0.000 0.000
1.223 3.714 0.000
1.429 0.840 4.169
Cu Ag O
1 1 2
Direct
0.000 0.000 0.000
0.500 0.500 0.500
0.331 0.163 0.216
0.669 0.837 0.784
```

Largest 6 diffraction maxima, by intensity, 2θ from 5° to 70°:
two_theta, Rel. int.
35.81, 1000
29.21, 935
34.75, 601
44.44, 493
45.41, 481
36.27, 470

=====

No. 4
This entry pairs a crystal structure of Cu3Ag5P4O16 with its simulated powder diffraction line list. Radiation: a wavelength of 1.5418 Å. Structure: a PBE-relaxed structure.

```
Cu3Ag5P4O16
1.0
8.936 -2.582 0.000
8.936 2.582 0.000
-7.165 0.000 15.422
Cu Ag P O
6 10 8 32
Direct
0.000 0.500 0.000
0.122 0.675 0.525
0.325 0.878 0.975
0.500 0.000 0.500
0.675 0.122 0.025
0.878 0.325 0.475
0.069 0.579 0.250
0.085 0.645 0.878
0.227 0.773 0.750
0.355 0.915 0.622
0.421 0.931 0.250
0.579 0.069 0.750
0.645 0.085 0.378
0.773 0.227 0.250
0.915 0.355 0.122
0.931 0.421 0.750
0.016 0.549 0.621
0.304 0.681 0.398
0.319 0.696 0.102
0.451 0.984 0.879
0.549 0.016 0.121
0.681 0.304 0.898
0.696 0.319 0.602
0.984 0.451 0.379
0.087 0.488 0.712
0.127 0.719 0.044
0.139 0.300 0.550
0.140 0.599 0.623
0.140 0.699 0.423
0.193 0.728 0.302
0.198 0.301 0.902
0.272 0.807 0.198
0.281 0.873 0.456
0.300 0.139 0.050
0.301 0.198 0.402
0.301 0.860 0.077
0.377 0.614 0.905
0.386 0.623 0.595
0.401 0.860 0.877
0.488 0.087 0.212
0.512 0.913 0.788
0.599 0.140 0.123
0.614 0.377 0.405
0.623 0.386 0.095
0.699 0.140 0.923
0.699 0.802 0.598
0.700 0.861 0.950
0.719 0.127 0.544
0.728 0.193 0.802
0.802 0.699 0.098
0.807 0.272 0.698
0.860 0.301 0.577
0.860 0.401 0.377
0.861 0.700 0.450
0.873 0.281 0.956
0.913 0.512 0.288
```

Largest 6 diffraction maxima, by intensity, 2θ from 5° to 70°:
two_theta, Rel. int.
31.80, 1000
33.52, 997
34.74, 662
30.10, 519
46.61, 286
25.07, 279

=====

No. 5
This entry pairs a crystal structure of Cu2AgSe2O10 with its simulated powder diffraction line list. Radiation: a wavelength of 1.5418 Å. Structure: a PBE-relaxed structure.

```
Cu2AgSe2O10
1.0
4.671 -3.081 0.000
4.671 3.081 0.000
-4.199 0.000 7.046
Cu Ag Se O
2 1 2 10
Direct
0.000 0.500 0.000
0.500 0.000 0.000
0.000 0.000 0.500
0.418 0.418 0.707
0.582 0.582 0.293
0.178 0.178 0.049
0.229 0.687 0.240
0.283 0.283 0.477
0.313 0.771 0.760
0.321 0.321 0.831
0.679 0.679 0.169
0.687 0.229 0.240
0.717 0.717 0.523
0.771 0.313 0.760
0.822 0.822 0.951
```

Largest 6 diffraction maxima, by intensity, 2θ from 5° to 70°:
two_theta, Rel. int.
26.17, 1000
30.77, 675
18.59, 654
32.52, 641
31.70, 637
23.58, 437

=====

No. 6
This entry pairs a crystal structure of CuAg4TeO6 with its simulated powder diffraction line list. Radiation: a wavelength of 1.5418 Å. Structure: a PBE-relaxed structure.

```
CuAg4TeO6
1.0
5.741 -4.939 0.000
5.741 4.939 0.000
-0.986 0.000 5.755
Cu Ag Te O
2 8 2 12
Direct
0.083 0.917 0.750
0.917 0.083 0.250
0.000 0.500 0.500
0.179 0.349 0.971
0.349 0.179 0.471
0.428 0.572 0.750
0.500 0.000 0.000
0.572 0.428 0.250
0.651 0.821 0.529
0.821 0.651 0.029
0.222 0.778 0.250
0.778 0.222 0.750
0.033 0.174 0.680
0.148 0.702 0.919
0.174 0.033 0.180
0.244 0.525 0.313
0.298 0.852 0.581
0.475 0.756 0.187
0.525 0.244 0.813
0.702 0.148 0.419
0.756 0.475 0.687
0.826 0.967 0.820
0.852 0.298 0.081
0.967 0.826 0.320
```

Largest 6 diffraction maxima, by intensity, 2θ from 5° to 70°:
two_theta, Rel. int.
32.96, 1000
37.87, 981
31.62, 589
37.37, 584
32.44, 498
53.73, 330

=====

No. 7
This entry pairs a crystal structure of Cu2AgPS4 with its simulated powder diffraction line list. Radiation: a wavelength of 1.5418 Å. Structure: a PBE-relaxed structure.

```
Cu2AgPS4
1.0
7.662 0.000 0.000
0.000 6.322 0.000
0.000 0.000 6.205
Cu Ag P S
4 2 2 8
Direct
0.247 0.185 0.000
0.253 0.815 0.500
0.747 0.815 0.500
0.753 0.185 0.000
0.000 0.353 0.495
0.500 0.647 0.995
0.000 0.687 0.991
0.500 0.313 0.491
0.000 0.368 0.901
0.000 0.720 0.327
0.221 0.840 0.868
0.279 0.160 0.368
0.500 0.280 0.827
0.500 0.632 0.401
0.721 0.160 0.368
0.779 0.840 0.868
```

Largest 6 diffraction maxima, by intensity, 2θ from 5° to 70°:
two_theta, Rel. int.
30.86, 1000
28.78, 750
27.22, 749
52.31, 607
49.36, 464
28.23, 389

=====

No. 8
This entry pairs a crystal structure of Cu3Ag3P2S8 with its simulated powder diffraction line list. Radiation: a wavelength of 1.5418 Å. Structure: a PBE-relaxed structure.

```
Cu3Ag3P2S8
1.0
6.295 0.000 0.000
0.010 6.447 0.000
0.020 0.038 7.739
Cu Ag P S
3 3 2 8
Direct
0.000 0.000 0.000
0.004 0.992 0.498
0.507 0.644 0.500
0.504 0.159 0.251
0.507 0.637 0.996
0.996 0.468 0.745
0.494 0.131 0.743
0.998 0.499 0.254
0.325 0.513 0.268
0.364 0.003 0.966
0.370 0.972 0.529
0.400 0.439 0.729
0.828 0.103 0.748
0.868 0.657 0.468
0.902 0.654 0.030
0.905 0.185 0.250
```

Largest 6 diffraction maxima, by intensity, 2θ from 5° to 70°:
two_theta, Rel. int.
28.36, 1000
30.40, 729
30.51, 711
51.57, 614
31.17, 574
27.67, 527